[1]
Computed PXRD pattern
Compound: Y5Tl2In
Radiation: Cu Kα
Structure: the PBE geometry in Alexandria
Neutral-atom scattering factors, no anomalous dispersion.

Cell: 9.124 9.124 9.124 Å, 127.04 127.04 78.18°
Element x y z (fractional)
Y 0.000 0.000 0.000
Y 0.008 0.508 0.819
Y 0.189 0.008 0.500
Y 0.311 0.811 0.819
Y 0.492 0.311 0.500
Y 0.500 0.500 0.000
Y 0.508 0.689 0.500
Y 0.689 0.189 0.181
Y 0.811 0.992 0.500
Y 0.992 0.492 0.181
Tl 0.136 0.364 0.500
Tl 0.364 0.864 0.227
Tl 0.636 0.136 0.773
Tl 0.864 0.636 0.500
In 0.250 0.250 0.000
In 0.750 0.750 0.000

Top 10 peaks for 2θ = 5–70°, low angle first:
| d/Å | 2theta | I/Imax |
| --- | --- | --- |
| 7.082 | 12.50 | 19 |
| 4.465 | 19.88 | 11 |
| 2.882 | 31.03 | 100 |
| 2.573 | 34.87 | 42 |
| 2.361 | 38.12 | 10 |
| 2.235 | 40.36 | 14 |
| 2.081 | 43.48 | 9 |
| 2.035 | 44.52 | 12 |
| 1.820 | 50.12 | 12 |
| 1.439 | 64.80 | 20 |

[2]
Computed PXRD pattern
Compound: K6Rb2TlAg
Radiation: Cu Kα
Structure: the PBE geometry in Alexandria
Neutral-atom scattering factors, no anomalous dispersion.

Cell: 9.735 9.735 9.719 Å, 119.88 119.88 90.05°
Element x y z (fractional)
K 0.000 0.000 0.000
K 0.010 0.010 0.513
K 0.010 0.503 0.513
K 0.493 0.493 0.986
K 0.503 0.010 0.513
K 0.503 0.503 0.513
Rb 0.012 0.513 0.025
Rb 0.513 0.012 0.025
Tl 0.745 0.745 0.489
Ag 0.246 0.246 0.491

Top 10 peaks for 2θ = 5–70°, low angle first:
| d/Å | 2theta | I/Imax |
| --- | --- | --- |
| 6.887 | 12.85 | 34 |
| 4.870 | 18.22 | 100 |
| 3.444 | 25.87 | 74 |
| 3.081 | 28.98 | 18 |
| 2.813 | 31.81 | 42 |
| 2.438 | 36.88 | 27 |
| 2.432 | 36.95 | 28 |
| 2.179 | 41.44 | 16 |
| 1.843 | 49.46 | 15 |
| 1.839 | 49.58 | 14 |

[3]
Computed PXRD pattern
Compound: Sr3AgCl7
Radiation: Cu Kα
Structure: the PBE geometry in Alexandria
Neutral-atom scattering factors, no anomalous dispersion.

Cell: 8.493 8.493 9.543 Å, 90.00 90.00 107.49°
Element x y z (fractional)
Sr 0.000 0.000 0.000
Sr 0.000 0.000 0.500
Sr 0.045 0.503 0.750
Sr 0.497 0.955 0.750
Sr 0.503 0.045 0.250
Sr 0.955 0.497 0.250
Ag 0.500 0.500 0.000
Ag 0.500 0.500 0.500
Cl 0.133 0.867 0.750
Cl 0.138 0.862 0.250
Cl 0.140 0.388 0.025
Cl 0.140 0.388 0.475
Cl 0.388 0.140 0.525
Cl 0.388 0.140 0.975
Cl 0.412 0.588 0.750
Cl 0.588 0.412 0.250
Cl 0.612 0.860 0.025
Cl 0.612 0.860 0.475
Cl 0.860 0.612 0.525
Cl 0.860 0.612 0.975
Cl 0.862 0.138 0.750
Cl 0.867 0.133 0.250

Top 10 peaks for 2θ = 5–70°, low angle first:
| d/Å | 2theta | I/Imax |
| --- | --- | --- |
| 4.050 | 21.95 | 81 |
| 3.915 | 22.71 | 74 |
| 2.511 | 35.76 | 29 |
| 2.434 | 36.94 | 100 |
| 2.386 | 37.70 | 26 |
| 2.114 | 42.78 | 25 |
| 2.057 | 44.03 | 37 |
| 1.730 | 52.94 | 16 |
| 1.434 | 65.02 | 13 |
| 1.386 | 67.56 | 13 |